Record 1
Structure and theoretical powder diffraction line list of Mn4AlFe3 (the GGA-PBE geometry in Alexandria; Cu Kα).

Structure:
Unit cell a=3.967 b=3.999 c=11.543 alpha=90.00 beta=90.00 gamma=90.00
Space group Immm (No. 71)
Unique sites:
Mn1 0.000 0.000 0.133 [4 per cell]
Mn2 0.000 0.500 0.252 [4 per cell]
Al1 0.000 0.500 0.500 [2 per cell]
Fe1 0.000 0.000 0.373 [4 per cell]
Fe2 0.000 0.500 0.000 [2 per cell]

Main lines, in order of rising 2θ (2θ = 15–90°):
hkl 0 0 2, d = 5.771 Å, I = 38; hkl 0 1 1, d = 3.779 Å, I = 24; hkl 0 1 3, d = 2.773 Å, I = 12; hkl 1 1 4, d = 2.016 Å, I = 1000; hkl 0 2 0, d = 2.000 Å, I = 247; hkl 2 0 0, d = 1.983 Å, I = 240; hkl 0 0 8, d = 1.443 Å, I = 74; hkl 2 2 0, d = 1.408 Å, I = 143; hkl 0 2 8, d = 1.170 Å, I = 70; hkl 2 0 8, d = 1.167 Å, I = 70; hkl 1 3 4, d = 1.158 Å, I = 141; hkl 3 1 4, d = 1.151 Å, I = 138


Record 2
Structure and theoretical powder diffraction line list of Dy3Tm5Sc3 (the GGA-PBE geometry in Alexandria; Cu Kα).

Structure:
Unit cell a=10.7257 b=10.7257 c=3.3526 alpha=90.00 beta=90.00 gamma=120.00
Space group P-62m (No. 189)
Unique sites:
Dy1 0.0000 0.3449 0.0000 [3 per cell]
Tm1 0.0000 0.8347 0.0000 [3 per cell]
Tm2 0.3333 0.6667 0.0000 [2 per cell]
Sc1 0.0000 0.5918 0.5000 [3 per cell]

Main lines, in order of rising 2θ (2θ = 15–90°):
hkl 1 1 0, d = 5.363 Å, I = 307; hkl 2 1 0, d = 3.511 Å, I = 916; hkl 0 0 1, d = 3.353 Å, I = 1000; hkl 3 0 0, d = 3.096 Å, I = 860; hkl 1 1 1, d = 2.843 Å, I = 531; hkl 2 2 0, d = 2.681 Å, I = 777; hkl 3 1 0, d = 2.576 Å, I = 674; hkl 2 1 1, d = 2.425 Å, I = 925; hkl 3 0 1, d = 2.275 Å, I = 510; hkl 2 2 1, d = 2.094 Å, I = 964; hkl 6 0 0, d = 1.548 Å, I = 356; hkl 6 0 1, d = 1.405 Å, I = 778


Record 3
Structure and theoretical powder diffraction line list of Na4B5C3 (the GGA-PBE geometry in Alexandria; Cu Kα).

Structure:
Unit cell a=2.834 b=8.509 c=10.044 alpha=90.00 beta=90.00 gamma=90.00
Space group Pmm2 (No. 25)
Unique sites:
Na1 0.000 0.246 0.000 [2 per cell]
Na2 0.000 0.249 0.500 [2 per cell]
Na3 0.500 0.246 0.251 [2 per cell]
Na4 0.500 0.250 0.749 [2 per cell]
B1 0.000 0.000 0.335 [1 per cell]
B2 0.000 0.000 0.834 [1 per cell]
B3 0.000 0.500 0.168 [1 per cell]
B4 0.000 0.500 0.671 [1 per cell]
B5 0.000 0.500 0.836 [1 per cell]
B6 0.500 0.000 0.084 [1 per cell]
B7 0.500 0.000 0.585 [1 per cell]
B8 0.500 0.500 0.401 [1 per cell]
B9 0.500 0.500 0.572 [1 per cell]
B10 0.500 0.500 0.937 [1 per cell]
C1 0.000 0.000 0.167 [1 per cell]
C2 0.000 0.000 0.667 [1 per cell]
C3 0.000 0.500 0.327 [1 per cell]
C4 0.500 0.000 0.418 [1 per cell]
C5 0.500 0.000 0.917 [1 per cell]
C6 0.500 0.500 0.091 [1 per cell]

Main lines, in order of rising 2θ (2θ = 15–90°):
hkl 0 0 4, d = 2.511 Å, I = 98; hkl 1 0 2, d = 2.468 Å, I = 173; hkl 0 2 4, d = 2.163 Å, I = 504; hkl 1 2 2, d = 2.135 Å, I = 1000; hkl 0 4 0, d = 2.127 Å, I = 384; hkl 1 4 2, d = 1.611 Å, I = 97; hkl 1 0 6, d = 1.441 Å, I = 173; hkl 2 0 0, d = 1.417 Å, I = 88; hkl 1 6 2, d = 1.230 Å, I = 125; hkl 1 4 6, d = 1.193 Å, I = 169; hkl 2 2 4, d = 1.185 Å, I = 106; hkl 2 4 0, d = 1.179 Å, I = 84


Record 4
Structure and theoretical powder diffraction line list of Pr8Tl3In2 (the GGA-PBE geometry in Alexandria; Cu Kα).

Structure:
Unit cell a=9.209 b=16.473 c=5.768 alpha=90.00 beta=90.00 gamma=90.00
Space group Cmmm (No. 65)
Unique sites:
Pr1 0.000 0.107 0.000 [4 per cell]
Pr2 0.000 0.313 0.000 [4 per cell]
Pr3 0.207 0.382 0.500 [8 per cell]
Tl1 0.000 0.000 0.500 [2 per cell]
Tl2 0.175 0.500 0.000 [4 per cell]
In1 0.000 0.221 0.500 [4 per cell]

Main lines, in order of rising 2θ (2θ = 15–90°):
hkl 2 2 0, d = 4.019 Å, I = 144; hkl 3 1 0, d = 3.018 Å, I = 404; hkl 0 0 2, d = 2.884 Å, I = 631; hkl 1 5 1, d = 2.732 Å, I = 851; hkl 2 4 1, d = 2.710 Å, I = 1000; hkl 3 3 1, d = 2.430 Å, I = 201; hkl 3 1 2, d = 2.085 Å, I = 288; hkl 1 5 3, d = 1.634 Å, I = 182; hkl 2 4 3, d = 1.629 Å, I = 217; hkl 3 9 0, d = 1.572 Å, I = 136; hkl 5 5 1, d = 1.549 Å, I = 283; hkl 3 9 2, d = 1.380 Å, I = 177


Record 5
Structure and theoretical powder diffraction line list of Ac2Ni17 (the GGA-PBE geometry in Alexandria; Cu Kα).

Structure:
Unit cell a=8.4906 b=8.4906 c=12.2840 alpha=90.00 beta=90.00 gamma=120.00
Space group R-3m (No. 166, hexagonal axes)
Unique sites:
Ac1 0.0000 0.0000 0.1585 [6 per cell]
Ni1 0.0000 0.0000 0.4029 [6 per cell]
Ni2 0.0000 0.2832 0.5000 [18 per cell]
Ni3 0.0000 0.5000 0.0000 [9 per cell]
Ni4 0.0068 0.5034 0.3433 [18 per cell]

Main lines, in order of rising 2θ (2θ = 15–90°):
hkl 1 1 0, d = 4.245 Å, I = 157; hkl 1 1 3, d = 2.947 Å, I = 591; hkl 3 0 0, d = 2.451 Å, I = 440; hkl 0 2 4, d = 2.357 Å, I = 304; hkl 2 2 0, d = 2.123 Å, I = 671; hkl 3 0 3, d = 2.103 Å, I = 1000; hkl 2 1 4, d = 2.061 Å, I = 218; hkl 0 0 6, d = 2.047 Å, I = 312; hkl 1 4 3, d = 1.494 Å, I = 259; hkl 2 2 6, d = 1.474 Å, I = 209; hkl 6 0 0, d = 1.226 Å, I = 151; hkl 3 0 9, d = 1.192 Å, I = 173


Record 6
Structure and theoretical powder diffraction line list of Ge (the GGA-PBE geometry in Alexandria; Cu Kα).

Structure:
Unit cell a=4.016 b=7.158 c=11.585 alpha=90.00 beta=90.00 gamma=90.00
Space group Pnnm (No. 58)
Unique sites:
Ge1 0.089 0.172 0.208 [8 per cell]
Ge2 0.247 0.108 0.000 [4 per cell]

Main lines, in order of rising 2θ (2θ = 15–90°):
hkl 0 0 2, d = 5.793 Å, I = 394; hkl 1 1 0, d = 3.503 Å, I = 291; hkl 1 1 1, d = 3.353 Å, I = 607; hkl 0 2 2, d = 3.045 Å, I = 428; hkl 0 0 4, d = 2.896 Å, I = 532; hkl 1 0 3, d = 2.784 Å, I = 341; hkl 1 2 0, d = 2.672 Å, I = 749; hkl 0 1 5, d = 2.204 Å, I = 354; hkl 1 3 0, d = 2.051 Å, I = 286; hkl 1 2 4, d = 1.964 Å, I = 348; hkl 2 1 0, d = 1.933 Å, I = 1000; hkl 0 3 5, d = 1.662 Å, I = 287


Record 7
Structure and theoretical powder diffraction line list of Mg4TlCd4 (the GGA-PBE geometry in Alexandria; Cu Kα).

Structure:
Unit cell a=6.589 b=6.589 c=10.282 alpha=90.00 beta=90.00 gamma=90.00
Space group P4_2/nmc (No. 137, origin choice 2)
Unique sites:
Mg1 0.004 0.250 0.021 [8 per cell]
Tl1 0.250 0.750 0.250 [2 per cell]
Cd1 0.033 0.250 0.315 [8 per cell]

Main lines, in order of rising 2θ (2θ = 15–90°):
hkl 0 0 2, d = 5.141 Å, I = 466; hkl 1 0 2, d = 4.053 Å, I = 228; hkl 2 1 1, d = 2.833 Å, I = 1000; hkl 2 0 2, d = 2.774 Å, I = 108; hkl 1 0 4, d = 2.395 Å, I = 147; hkl 2 0 3, d = 2.375 Å, I = 402; hkl 2 1 3, d = 2.234 Å, I = 185; hkl 3 1 2, d = 1.931 Å, I = 112; hkl 3 2 1, d = 1.799 Å, I = 102; hkl 4 0 0, d = 1.647 Å, I = 116; hkl 2 2 6, d = 1.380 Å, I = 95; hkl 5 2 1, d = 1.215 Å, I = 121


Record 8
Structure and theoretical powder diffraction line list of LiErZnIn (the GGA-PBE geometry in Alexandria; Cu Kα).

Structure:
Unit cell a=8.533 b=4.929 c=4.930 alpha=90.00 beta=125.30 gamma=90.00
Space group Cm (No. 8)
Unique sites:
Li1 0.000 0.000 0.000 [2 per cell]
Er1 0.000 0.500 0.500 [2 per cell]
Zn1 0.250 0.000 0.752 [2 per cell]
In1 0.250 0.500 0.250 [2 per cell]

Main lines, in order of rising 2θ (2θ = 15–90°):
hkl 2 0 -1, d = 4.024 Å, I = 512; hkl 1 1 1, d = 2.464 Å, I = 1000; hkl 1 1 -2, d = 2.101 Å, I = 271; hkl 4 0 0, d = 1.742 Å, I = 173; hkl 4 0 -3, d = 1.599 Å, I = 115; hkl 4 2 0, d = 1.423 Å, I = 348; hkl 0 0 3, d = 1.341 Å, I = 86; hkl 2 2 2, d = 1.232 Å, I = 107; hkl 3 1 -4, d = 1.178 Å, I = 86; hkl 5 3 -3, d = 1.102 Å, I = 104; hkl 5 1 1, d = 1.101 Å, I = 52


Record 9
Structure and theoretical powder diffraction line list of GeH4Br2 (the GGA-PBE geometry in Alexandria; Cu Kα).

Structure:
Unit cell a=7.116 b=5.162 c=8.464 alpha=90.00 beta=107.28 gamma=90.00
Space group Cm (No. 8)
Unique sites:
Ge1 0.000 0.000 0.000 [2 per cell]
H1 0.207 0.000 0.124 [2 per cell]
H2 0.347 0.500 0.095 [2 per cell]
H3 0.473 0.257 0.891 [4 per cell]
Br1 0.074 0.250 0.500 [4 per cell]

Main lines, in order of rising 2θ (2θ = 15–90°):
hkl 1 1 0, d = 4.110 Å, I = 212; hkl 0 0 2, d = 4.041 Å, I = 1000; hkl 1 1 -1, d = 3.963 Å, I = 193; hkl 2 0 -1, d = 3.529 Å, I = 214; hkl 2 0 0, d = 3.398 Å, I = 523; hkl 2 0 -2, d = 3.092 Å, I = 421; hkl 0 2 1, d = 2.458 Å, I = 522; hkl 2 0 2, d = 2.287 Å, I = 170; hkl 2 2 -1, d = 2.083 Å, I = 255; hkl 0 0 4, d = 2.020 Å, I = 259; hkl 2 2 1, d = 1.912 Å, I = 222; hkl 0 2 3, d = 1.864 Å, I = 224


Record 10
Structure and theoretical powder diffraction line list of Li2Al3Au2 (the GGA-PBE geometry in Alexandria; Cu Kα).

Structure:
Unit cell a=9.413 b=4.271 c=6.531 alpha=90.00 beta=110.46 gamma=90.00
Space group C2/m (No. 12)
Unique sites:
Li1 0.159 0.000 0.288 [4 per cell]
Al1 0.000 0.500 0.500 [2 per cell]
Al2 0.130 0.500 0.955 [4 per cell]
Au1 0.129 0.000 0.710 [4 per cell]

Main lines, in order of rising 2θ (2θ = 15–90°):
hkl 2 0 -1, d = 4.376 Å, I = 1000; hkl 1 1 0, d = 3.844 Å, I = 379; hkl 1 1 -1, d = 3.505 Å, I = 765; hkl 2 0 1, d = 3.100 Å, I = 333; hkl 0 0 2, d = 3.062 Å, I = 292; hkl 3 1 0, d = 2.421 Å, I = 228; hkl 1 1 2, d = 2.236 Å, I = 798; hkl 4 0 0, d = 2.205 Å, I = 181; hkl 0 2 0, d = 2.136 Å, I = 214; hkl 3 1 1, d = 2.058 Å, I = 235; hkl 1 1 -3, d = 1.928 Å, I = 240; hkl 2 2 -1, d = 1.919 Å, I = 224


Record 11
Structure and theoretical powder diffraction line list of Ba2TbMo2N6 (the GGA-PBE geometry in Alexandria; Cu Kα).

Structure:
Unit cell a=10.891 b=6.221 c=7.254 alpha=90.00 beta=122.38 gamma=90.00
Space group C2/m (No. 12)
Unique sites:
Ba1 0.211 0.000 0.183 [4 per cell]
Tb1 0.000 0.000 0.500 [2 per cell]
Mo1 0.043 0.500 0.216 [4 per cell]
N1 0.047 0.256 0.774 [8 per cell]
N2 0.243 0.500 0.374 [4 per cell]

Main lines, in order of rising 2θ (2θ = 15–90°):
hkl 1 1 1, d = 3.464 Å, I = 459; hkl 3 1 -1, d = 3.133 Å, I = 1000; hkl 0 2 0, d = 3.110 Å, I = 549; hkl 1 1 -2, d = 3.068 Å, I = 825; hkl 2 0 1, d = 2.989 Å, I = 197; hkl 2 2 -2, d = 2.349 Å, I = 169; hkl 4 0 -3, d = 2.231 Å, I = 187; hkl 2 2 1, d = 2.155 Å, I = 226; hkl 6 0 -2, d = 1.813 Å, I = 194; hkl 3 3 -1, d = 1.800 Å, I = 204; hkl 1 3 -2, d = 1.788 Å, I = 141; hkl 3 1 2, d = 1.683 Å, I = 201


Record 12
Structure and theoretical powder diffraction line list of Sr2CaReO6 (the GGA-PBE geometry in Alexandria; Cu Kα).

Structure:
Unit cell a=5.9181 b=5.9181 c=14.0748 alpha=90.00 beta=90.00 gamma=120.00
Space group R-3 (No. 148, hexagonal axes)
Unique sites:
Sr1 0.0000 0.0000 0.2440 [6 per cell]
Ca1 0.0000 0.0000 0.5000 [3 per cell]
Re1 0.0000 0.0000 0.0000 [3 per cell]
O1 0.0346 0.4430 0.7457 [18 per cell]

Main lines, in order of rising 2θ (2θ = 15–90°):
hkl 1 0 1, d = 4.816 Å, I = 644; hkl 1 1 0, d = 2.959 Å, I = 998; hkl 1 0 4, d = 2.901 Å, I = 1000; hkl 2 -1 3, d = 2.503 Å, I = 161; hkl 0 2 4, d = 2.071 Å, I = 583; hkl 3 0 0, d = 1.708 Å, I = 255; hkl 3 -1 4, d = 1.697 Å, I = 434; hkl 0 1 8, d = 1.664 Å, I = 185; hkl 2 2 0, d = 1.480 Å, I = 161; hkl 2 0 8, d = 1.450 Å, I = 171; hkl 4 -3 4, d = 1.318 Å, I = 175; hkl 1 2 8, d = 1.302 Å, I = 180


Record 13
Structure and theoretical powder diffraction line list of Li4Tm3Ga4 (the GGA-PBE geometry in Alexandria; Cu Kα).

Structure:
Unit cell a=4.481 b=6.666 c=14.330 alpha=90.00 beta=90.00 gamma=90.00
Space group Immm (No. 71)
Unique sites:
Li1 0.000 0.191 0.173 [8 per cell]
Tm1 0.000 0.000 0.379 [4 per cell]
Tm2 0.000 0.500 0.500 [2 per cell]
Ga1 0.000 0.305 0.000 [4 per cell]
Ga2 0.000 0.500 0.286 [4 per cell]

Main lines, in order of rising 2θ (2θ = 15–90°):
hkl 1 0 1, d = 4.276 Å, I = 310; hkl 0 1 3, d = 3.883 Å, I = 164; hkl 0 2 0, d = 3.333 Å, I = 280; hkl 1 0 3, d = 3.268 Å, I = 140; hkl 1 2 1, d = 2.630 Å, I = 1000; hkl 1 1 4, d = 2.580 Å, I = 866; hkl 2 0 0, d = 2.240 Å, I = 233; hkl 0 3 5, d = 1.756 Å, I = 153; hkl 1 3 4, d = 1.740 Å, I = 137; hkl 2 1 5, d = 1.706 Å, I = 165; hkl 2 3 5, d = 1.382 Å, I = 137; hkl 1 2 9, d = 1.368 Å, I = 137